No. 1
The following is a theoretical powder X-ray diffraction pattern of Ni5Pd5Pt2. It was derived from a GGA-PBE-relaxed structure, using Cu Kα.
Lines closer than 0.1° are merged.

Peak list (12 most intense, 2θ from 10° to 90°, by intensity)
h k l, 2theta, I/Imax
3 1 -3, 41.1, 100
6 0 -2, 46.9, 17
0 0 4, 47.4, 16
0 2 0, 49.2, 15
3 3 -3, 86.5, 11
1 1 0, 25.5, 11
0 2 4, 70.7, 10
6 2 -2, 70.3, 10
9 1 -5, 83.1, 6
9 1 -1, 83.2, 6
3 1 -7, 83.7, 6
3 1 5, 83.8, 6

```
data_Ni5Pd5Pt2
_chemical_formula_sum 'Ni10 Pd10 Pt4'
_cell_length_a 11.615
_cell_length_b 3.705
_cell_length_c 8.608
_cell_angle_alpha 90.00
_cell_angle_beta 116.86
_cell_angle_gamma 90.00
_symmetry_space_group_name_H-M 'C 1 2/m 1'
_symmetry_Int_Tables_number 12
_symmetry_space_group_name_Hall '-C 2y'
loop_
_atom_site_label
_atom_site_fract_x
_atom_site_fract_y
_atom_site_fract_z
Ni1 0.000 0.000 0.000
Ni2 0.078 0.000 0.747
Ni3 0.169 0.000 0.500
Pd1 0.000 0.500 0.500
Pd2 0.161 0.500 0.996
Pd3 0.245 0.500 0.742
Pt1 0.084 0.500 0.257
```


No. 2
The following is a theoretical powder X-ray diffraction pattern of Tl2Hg5Au3. It was derived from a GGA-PBE-relaxed structure, using Cu Kα.
Lines closer than 0.1° are merged.

Peak list (12 most intense, 2θ from 10° to 90°, by intensity)
h k l, 2theta, I/Imax
1 1 2, 31.9, 100
2 0 0, 41.8, 50
1 1 4, 39.0, 45
1 0 5, 38.1, 22
3 1 2, 70.1, 22
2 0 6, 58.0, 20
1 0 3, 28.1, 18
2 2 0, 60.6, 17
0 0 6, 38.4, 16
1 0 4, 32.8, 14
3 1 4, 74.4, 14
2 1 5, 57.9, 13

```
data_Tl2Hg5Au3
_chemical_formula_sum 'Tl2 Hg5 Au3'
_cell_length_a 4.324
_cell_length_b 4.324
_cell_length_c 14.077
_cell_angle_alpha 90.00
_cell_angle_beta 90.00
_cell_angle_gamma 90.00
_symmetry_space_group_name_H-M 'P -4 m 2'
_symmetry_Int_Tables_number 115
_symmetry_space_group_name_Hall 'P -4 -2'
loop_
_atom_site_label
_atom_site_fract_x
_atom_site_fract_y
_atom_site_fract_z
Tl1 0.000 0.500 0.207
Hg1 0.000 0.000 0.500
Hg2 0.000 0.500 0.663
Hg3 0.500 0.500 0.000
Hg4 0.500 0.500 0.500
Au1 0.000 0.000 0.000
Au2 0.000 0.500 0.861
```


No. 3
The following is a theoretical powder X-ray diffraction pattern of VCdCl. It was derived from a GGA-PBE-relaxed structure, using Cu Kα.
Lines closer than 0.1° are merged.

Peak list (12 most intense, 2θ from 10° to 90°, by intensity)
h k l, 2theta, I/Imax
0 2 1, 31.5, 100
1 2 1, 42.7, 77
0 0 1, 14.0, 70
1 0 2, 40.2, 54
0 1 2, 31.6, 37
1 1 1, 34.6, 35
1 0 0, 28.1, 32
2 2 1, 67.5, 24
0 1 3, 45.3, 24
1 3 2, 60.1, 20
1 4 0, 65.7, 16
1 3 3, 69.5, 15

```
data_VCdCl
_chemical_formula_sum 'V2 Cd2 Cl2'
_cell_length_a 3.181
_cell_length_b 6.350
_cell_length_c 6.326
_cell_angle_alpha 90.00
_cell_angle_beta 90.00
_cell_angle_gamma 90.00
_symmetry_space_group_name_H-M 'P m m 2'
_symmetry_Int_Tables_number 25
_symmetry_space_group_name_Hall 'P 2 -2'
loop_
_atom_site_label
_atom_site_fract_x
_atom_site_fract_y
_atom_site_fract_z
V1 0.000 0.152 0.000
Cd1 0.500 0.000 0.650
Cd2 0.500 0.500 0.800
Cl1 0.500 0.246 0.263
```